Calculated X-ray diffraction stick pattern of Na3TlIn5 for CuKα, from DFT lattice parameters and positions (PBE).
Peak positions follow from Bragg's law for the DFT cell and can differ from measured ones.

Principal peaks in the range 10° ≤ 2θ ≤ 90°, sorted by position:
Position (°2θ), I/Imax
19.71, 53
22.94, 19
27.69, 75
30.56, 28
34.22, 34
34.61, 100
39.56, 15
41.48, 19
46.43, 17
53.56, 25

Cell and atoms:
Unit cell a=9.012 b=9.012 c=9.012 alpha=119.27 beta=119.27 gamma=91.28
Atoms (fractional coordinates):
1 Na 0.108 0.608 0.716
2 Na 0.250 0.250 0.000
3 Na 0.392 0.108 0.500
4 Na 0.608 0.892 0.500
5 Na 0.750 0.750 0.000
6 Na 0.892 0.392 0.284
7 Tl 0.250 0.750 0.500
8 Tl 0.750 0.250 0.500
9 In 0.000 0.000 0.000
10 In 0.070 0.163 0.500
11 In 0.163 0.663 0.093
12 In 0.337 0.430 0.500
13 In 0.430 0.930 0.093
14 In 0.500 0.500 0.000
15 In 0.570 0.070 0.907
16 In 0.663 0.570 0.500
17 In 0.837 0.337 0.907
18 In 0.930 0.837 0.500


Calculated X-ray diffraction stick pattern of Pm4Dy15Er for CuKα, from DFT lattice parameters and positions (PBE).
Peak positions follow from Bragg's law for the DFT cell and can differ from measured ones.

Principal peaks in the range 10° ≤ 2θ ≤ 90°, sorted by position:
Position (°2θ), I/Imax
30.74, 100
35.65, 51
51.30, 36
61.01, 43
64.03, 12
75.44, 4
83.69, 18
86.32, 6
86.36, 6
86.47, 5

Cell and atoms:
Unit cell a=5.040 b=5.040 c=25.156 alpha=90.00 beta=90.00 gamma=90.00
Atoms (fractional coordinates):
1 Pm 0.000 0.000 0.100
2 Pm 0.000 0.000 0.301
3 Pm 0.000 0.000 0.699
4 Pm 0.000 0.000 0.900
5 Dy 0.000 0.500 0.000
6 Dy 0.000 0.500 0.201
7 Dy 0.000 0.500 0.401
8 Dy 0.000 0.500 0.599
9 Dy 0.000 0.500 0.799
10 Dy 0.500 0.000 0.000
11 Dy 0.500 0.000 0.201
12 Dy 0.500 0.000 0.401
13 Dy 0.500 0.000 0.599
14 Dy 0.500 0.000 0.799
15 Dy 0.500 0.500 0.100
16 Dy 0.500 0.500 0.301
17 Dy 0.500 0.500 0.500
18 Dy 0.500 0.500 0.699
19 Dy 0.500 0.500 0.900
20 Er 0.000 0.000 0.500


Calculated X-ray diffraction stick pattern of NdHo7Mg2 for CuKα, from DFT lattice parameters and positions (PBE).
Peak positions follow from Bragg's law for the DFT cell and can differ from measured ones.

Principal peaks in the range 10° ≤ 2θ ≤ 90°, sorted by position:
Position (°2θ), I/Imax
11.52, 47
19.96, 30
26.37, 56
27.74, 67
30.17, 75
33.59, 58
34.07, 100
35.56, 90
45.77, 48
63.42, 37

Cell and atoms:
Unit cell a=9.167 b=9.167 c=5.335 alpha=90.00 beta=90.00 gamma=123.09
Atoms (fractional coordinates):
1 Nd 0.000 0.000 0.000
2 Ho 0.068 0.296 0.500
3 Ho 0.214 0.786 0.000
4 Ho 0.296 0.068 0.500
5 Ho 0.500 0.500 0.500
6 Ho 0.704 0.932 0.500
7 Ho 0.786 0.214 0.000
8 Ho 0.932 0.704 0.500
9 Mg 0.298 0.702 0.500
10 Mg 0.702 0.298 0.500


Calculated X-ray diffraction stick pattern of Sr5Ac3S8 for CuKα, from DFT lattice parameters and positions (PBE).
Peak positions follow from Bragg's law for the DFT cell and can differ from measured ones.

Principal peaks in the range 10° ≤ 2θ ≤ 90°, sorted by position:
Position (°2θ), I/Imax
12.62, 24
24.36, 17
25.44, 69
29.46, 100
42.10, 37
42.20, 37
49.86, 27
52.31, 20
69.23, 17
77.11, 19

Cell and atoms:
Unit cell a=8.586 b=8.586 c=8.586 alpha=59.84 beta=59.84 gamma=59.84
Atoms (fractional coordinates):
1 Sr 0.000 0.000 0.000
2 Sr 0.000 0.500 0.500
3 Sr 0.500 0.000 0.500
4 Sr 0.500 0.500 0.000
5 Sr 0.500 0.500 0.500
6 Ac 0.000 0.000 0.500
7 Ac 0.000 0.500 0.000
8 Ac 0.500 0.000 0.000
9 S 0.250 0.250 0.749
10 S 0.250 0.749 0.250
11 S 0.251 0.251 0.251
12 S 0.251 0.750 0.750
13 S 0.749 0.250 0.250
14 S 0.749 0.749 0.749
15 S 0.750 0.251 0.750
16 S 0.750 0.750 0.251


Calculated X-ray diffraction stick pattern of In5Ga4Ag for CuKα, from DFT lattice parameters and positions (PBE).
Peak positions follow from Bragg's law for the DFT cell and can differ from measured ones.

Principal peaks in the range 10° ≤ 2θ ≤ 90°, sorted by position:
Position (°2θ), I/Imax
27.54, 3
34.48, 100
39.34, 35
41.36, 14
56.86, 12
58.40, 20
68.22, 26
71.00, 10
72.70, 10
84.64, 4

Cell and atoms:
Unit cell a=3.239 b=3.239 c=21.832 alpha=90.00 beta=90.00 gamma=90.00
Atoms (fractional coordinates):
1 In 0.000 0.000 0.000
2 In 0.000 0.000 0.204
3 In 0.000 0.000 0.407
4 In 0.000 0.000 0.593
5 In 0.000 0.000 0.796
6 Ga 0.500 0.500 0.103
7 Ga 0.500 0.500 0.305
8 Ga 0.500 0.500 0.695
9 Ga 0.500 0.500 0.897
10 Ag 0.500 0.500 0.500


Calculated X-ray diffraction stick pattern of KLaGe2Cl8 for CuKα, from DFT lattice parameters and positions (PBE).
Peak positions follow from Bragg's law for the DFT cell and can differ from measured ones.

Principal peaks in the range 10° ≤ 2θ ≤ 90°, sorted by position:
Position (°2θ), I/Imax
15.76, 43
18.28, 100
19.52, 93
23.72, 44
24.29, 48
35.30, 41
35.77, 42
36.77, 44
37.38, 59
39.65, 57

Cell and atoms:
Unit cell a=6.423 b=6.915 c=9.105 alpha=87.16 beta=88.40 gamma=86.19
Atoms (fractional coordinates):
1 K 0.000 0.000 0.000
2 La 0.000 0.000 0.500
3 Ge 0.465 0.460 0.254
4 Ge 0.535 0.540 0.746
5 Cl 0.215 0.805 0.279
6 Cl 0.255 0.324 0.458
7 Cl 0.266 0.857 0.725
8 Cl 0.279 0.354 0.064
9 Cl 0.721 0.646 0.936
10 Cl 0.734 0.143 0.275
11 Cl 0.745 0.676 0.542
12 Cl 0.785 0.195 0.721